(1)
Structure and calculated powder XRD pattern of Th4CoC2S (the GGA-PBE geometry in Alexandria; copper Kα).
Kinematic intensities with the Lorentz-polarization factor, no thermal factor.

Main lines, in order of falling intensity (2θ = 5–70°):
2θ 32.4, I = 100, (1 1 1); 2θ 28.5, I = 84, (1 1 -1); 2θ 32.5, I = 50, (2 0 -2); 2θ 27.2, I = 44, (0 0 2); 2θ 27.8, I = 44, (2 0 0); 2θ 46.9, I = 37, (3 1 -1)

Cell: 6.7465 3.8150 6.8759 Å, 90.00 107.83 90.00°
Space group P2/m (No. 10)
One atom of each set of equivalent atoms:
Th 0.2309 0.0000 0.2242
Th 0.2529 0.5000 0.7771
Co 0.0000 0.0000 0.5000
C 0.0000 0.5000 0.0000
C 0.5000 0.0000 0.0000
S 0.5000 0.5000 0.5000

(2)
Structure and calculated powder XRD pattern of AcY8Tm4 (the GGA-PBE geometry in Alexandria; copper Kα).
Kinematic intensities with the Lorentz-polarization factor, no thermal factor.

Main lines, in order of falling intensity (2θ = 5–70°):
2θ 31.9, I = 100, (0 2 4); 2θ 37.5, I = 49, (2 0 8); 2θ 52.9, I = 27, (2 2 0); 2θ 8.3, I = 26, (0 0 3); 2θ 33.6, I = 20, (0 0 12); 2θ 64.1, I = 18, (2 2 12)

Cell: 6.9292 6.9292 32.0210 Å, 90.00 90.00 120.00°
Space group R-3m (No. 166, hexagonal axes)
One atom of each set of equivalent atoms:
Ac 0.0000 0.0000 0.0000
Y 0.0000 0.0000 0.2955
Y 0.0101 0.5050 0.2523
Tm 0.0000 0.0000 0.5000
Tm 0.0000 0.5000 0.5000